Entry 1:
Diffraction record for Ac3AuO3. The X-ray diffraction stick pattern is calculated, not measured: it uses a GGA-PBE-relaxed structure and copper Kα.
Peak positions follow from Bragg's law for the DFT cell and can differ from measured ones.

Principal peaks in the range 2θ = 5–70°, most intense first:
2theta	I (rel.)	(hkl)
27.05	100	2 -1 3
33.84	46	1 1 6
42.96	33	3 0 0
56.51	19	3 0 9
51.50	18	2 2 3
69.25	15	5 -1 3
43.06	14	2 -1 9
34.92	12	0 0 9
53.80	12	2 -1 12
55.77	11	4 -2 6
65.73	11	2 -1 15
23.08	9	0 0 6

a = 7.2935 Å, b = 7.2935 Å, c = 23.1253 Å
α = 90.00°, β = 90.00°, γ = 120.00°
Space group R-3 (No. 148, hexagonal axes)
One atom of each set of equivalent atoms:
Ac 0.0009 0.6619 0.4019 x18
Au 0.0000 0.0000 0.1667 x6
O 0.0024 0.6734 0.6267 x18

---

Entry 2:
Diffraction record for CdGe2Pt2. The X-ray diffraction stick pattern is calculated, not measured: it uses a GGA-PBE-relaxed structure and copper Kα.
Peak positions follow from Bragg's law for the DFT cell and can differ from measured ones.

Principal peaks in the range 2θ = 5–70°, most intense first:
2theta	I (rel.)	(hkl)
42.91	100	2 2 2
40.74	88	1 2 -1
26.96	81	1 -1 0
23.62	79	0 1 -1
44.34	79	1 -2 1
43.45	77	1 0 3
31.88	76	1 2 1
29.39	73	1 1 2
36.55	70	2 0 0
44.15	65	0 1 3
40.98	65	2 0 2
39.61	64	0 2 2

a = 5.3032 Å, b = 5.8657 Å, c = 6.5700 Å
α = 74.94°, β = 72.36°, γ = 73.03°
Space group P-1 (No. 2)
One atom of each set of equivalent atoms:
Cd 0.0623 0.4208 0.2377 x2
Ge 0.2525 0.0189 0.9846 x2
Ge 0.4808 0.7468 0.5286 x2
Pt 0.0845 0.0793 0.6518 x2
Pt 0.4870 0.3714 0.8305 x2

---

Entry 3:
Diffraction record for KP2H6. The X-ray diffraction stick pattern is calculated, not measured: it uses a GGA-PBE-relaxed structure and copper Kα.
Peak positions follow from Bragg's law for the DFT cell and can differ from measured ones.

Principal peaks in the range 2θ = 5–70°, most intense first:
2theta	I (rel.)	(hkl)
27.73	100	3 1 1
31.27	58	0 2 2
32.65	49	3 3 1
23.97	42	0 4 0
34.35	27	1 5 1
17.26	27	1 1 1
48.36	26	6 2 0
40.92	18	3 5 1
28.49	16	2 4 0
24.24	11	1 3 1
50.38	10	3 1 3
63.34	10	1 7 3

a = 11.6733 Å, b = 14.8494 Å, c = 6.1990 Å
α = 90.00°, β = 90.00°, γ = 90.00°
Space group Fdd2 (No. 43)
One atom of each set of equivalent atoms:
K 0.0000 0.0000 0.0000 x8
P 0.0785 0.2879 0.6875 x16
H 0.0247 0.2047 0.7535 x16
H 0.0370 0.1738 0.1388 x16
H 0.0777 0.3293 0.8973 x16

---

Entry 4:
Diffraction record for Ca2PmMoN4. The X-ray diffraction stick pattern is calculated, not measured: it uses a GGA-PBE-relaxed structure and copper Kα.
Peak positions follow from Bragg's law for the DFT cell and can differ from measured ones.

Principal peaks in the range 2θ = 5–70°, most intense first:
2theta	I (rel.)	(hkl)
31.78	100	2 1 1
31.57	63	0 2 1
26.59	63	2 1 0
34.57	49	0 0 2
21.58	46	0 1 1
46.65	39	2 3 0
13.09	35	0 1 0
59.34	32	2 3 2
44.15	29	2 1 2
23.04	27	2 0 0
57.80	23	4 2 1
47.09	21	4 0 0

a = 7.7193 Å, b = 6.7655 Å, c = 5.1885 Å
α = 90.00°, β = 90.00°, γ = 90.00°
Space group Pmn2_1 (No. 31)
One atom of each set of equivalent atoms:
Ca 0.2459 0.1615 0.0000 x4
Pm 0.0000 0.3547 0.4983 x2
Mo 0.0000 0.6747 0.0428 x2
N 0.0000 0.3861 0.9889 x2
N 0.0000 0.6832 0.4063 x2
N 0.2183 0.8012 0.9746 x4